# 1
Diffraction record for Ba2CuH6. The powder X-ray diffraction pattern is calculated, not measured: it uses a cell relaxed with PBE and copper Kα.
Peak positions follow from Bragg's law for the DFT cell and can differ from measured ones.

Crystal structure
```
Ba2CuH6
1.0
7.3253 -2.9291 0.0000
7.3253 2.9291 0.0000
0.0000 0.0000 5.8558
Ba Cu H
4 2 12
direct
0.1418 0.1418 0.0000
0.3582 0.3582 0.5000
0.6418 0.6418 0.5000
0.8582 0.8582 0.0000
0.0000 0.0000 0.5000
0.5000 0.5000 0.0000
0.0003 0.4997 0.2500
0.9997 0.5003 0.7500
0.1090 0.1090 0.5000
0.2082 0.7919 0.7071
0.2918 0.7081 0.2071
0.3910 0.3910 0.0000
0.5003 0.9997 0.2500
0.4997 0.0003 0.7500
0.6090 0.6090 0.0000
0.7081 0.2918 0.7929
0.7919 0.2082 0.2929
0.8910 0.8910 0.5000
```

The 6 most intense peaks (2θ from 5° to 70°), low angle first:
| 2theta | I/Imax |
| --- | --- |
| 22.31 | 16.7 |
| 28.25 | 100.0 |
| 30.53 | 48.5 |
| 39.39 | 14.0 |
| 43.71 | 18.8 |
| 52.87 | 33.9 |

# 2
Diffraction record for Dy2Au. The powder X-ray diffraction pattern is calculated, not measured: it uses a cell relaxed with PBE and copper Kα.
Peak positions follow from Bragg's law for the DFT cell and can differ from measured ones.

Crystal structure
```
Dy2Au
1.0
7.1487 0.0000 0.0000
0.0000 4.9600 0.0000
0.0000 0.0000 8.9559
Dy Au
8 4
direct
0.0156 0.2500 0.1768
0.1487 0.2500 0.5794
0.3513 0.7500 0.0794
0.4844 0.7500 0.6768
0.5156 0.2500 0.3232
0.6487 0.2500 0.9206
0.8513 0.7500 0.4206
0.9844 0.7500 0.8232
0.2432 0.2500 0.9002
0.2568 0.7500 0.4002
0.7432 0.2500 0.5998
0.7568 0.7500 0.0998
```

The 6 most intense peaks (2θ from 5° to 70°), low angle first:
| 2theta | I/Imax |
| --- | --- |
| 29.64 | 54.6 |
| 30.83 | 25.2 |
| 32.46 | 100.0 |
| 35.08 | 63.8 |
| 36.22 | 54.8 |
| 43.52 | 23.1 |

# 3
Diffraction record for Mg6SiSn. The powder X-ray diffraction pattern is calculated, not measured: it uses a cell relaxed with PBE and copper Kα.
Peak positions follow from Bragg's law for the DFT cell and can differ from measured ones.

Crystal structure
```
Mg6SiSn
1.0
5.0979 0.0000 0.0000
0.0000 3.2319 5.2720
0.0000 -3.2319 5.2720
Mg Si Sn
6 1 1
direct
0.0000 0.0000 0.0000
0.0000 0.0025 0.4850
0.0000 0.4850 0.0025
0.0000 0.4953 0.4953
0.5000 0.1634 0.6639
0.5000 0.6639 0.1634
0.5000 0.1613 0.1613
0.5000 0.6631 0.6631
```

The 6 most intense peaks (2θ from 5° to 70°), low angle first:
| 2theta | I/Imax |
| --- | --- |
| 16.08 | 39.8 |
| 23.78 | 38.5 |
| 32.50 | 30.1 |
| 35.21 | 37.1 |
| 37.09 | 100.0 |
| 38.45 | 44.7 |

# 4
Diffraction record for Pm3Sc. The powder X-ray diffraction pattern is calculated, not measured: it uses a cell relaxed with PBE and copper Kα.
Peak positions follow from Bragg's law for the DFT cell and can differ from measured ones.

Crystal structure
```
Pm3Sc
1.0
-2.5222 2.5222 5.0364
2.5222 -2.5222 5.0364
2.5222 2.5222 -5.0364
Pm Sc
3 1
direct
0.0000 0.0000 0.0000
0.2500 0.7500 0.5000
0.7500 0.2500 0.5000
0.5000 0.5000 0.0000
```

The 6 most intense peaks (2θ from 5° to 70°), low angle first:
| 2theta | I/Imax |
| --- | --- |
| 19.68 | 12.7 |
| 30.72 | 100.0 |
| 35.61 | 50.4 |
| 51.25 | 35.4 |
| 60.95 | 41.9 |
| 63.97 | 12.0 |

Q: What is the formula in the first record?
A: Ba2CuH6